Record 1
Starting from a DFT-relaxed cell (PBE, Alexandria), the X-ray diffraction stick pattern of DyEr3Cu4 was calculated for λ = 1.5418 Å (Cu Kα).

```
data_DyEr3Cu4
_chemical_formula_sum 'Dy1 Er3 Cu4'
_cell_length_a 3.431
_cell_length_b 4.877
_cell_length_c 9.754
_cell_angle_alpha 90.00
_cell_angle_beta 90.00
_cell_angle_gamma 90.00
_symmetry_space_group_name_H-M 'P 1'
_symmetry_Int_Tables_number 1
_symmetry_space_group_name_Hall 'P 1'
loop_
_atom_site_label
_atom_site_type_symbol
_atom_site_fract_x
_atom_site_fract_y
_atom_site_fract_z
Dy1 Dy 0.000 0.000 0.000
Er1 Er 0.000 0.000 0.500
Er2 Er 0.000 0.500 0.251
Er3 Er 0.000 0.500 0.749
Cu1 Cu 0.500 0.000 0.252
Cu2 Cu 0.500 0.000 0.748
Cu3 Cu 0.500 0.500 0.000
Cu4 Cu 0.500 0.500 0.500
```

The 6 most intense peaks (2θ from 10° to 90°), most intense first:
2.432 Å, I = 100; 2.439 Å, I = 50; 1.407 Å, I = 35; 3.449 Å, I = 21; 1.724 Å, I = 17; 1.403 Å, I = 17

---

Record 2
Starting from a DFT-relaxed cell (PBE, Alexandria), the X-ray diffraction stick pattern of DyEr5Cu6 was calculated for λ = 1.5418 Å (Cu Kα).

```
data_DyEr5Cu6
_chemical_formula_sum 'Dy1 Er5 Cu6'
_cell_length_a 4.881
_cell_length_b 6.830
_cell_length_c 7.715
_cell_angle_alpha 90.00
_cell_angle_beta 108.30
_cell_angle_gamma 90.00
_symmetry_space_group_name_H-M 'P 1'
_symmetry_Int_Tables_number 1
_symmetry_space_group_name_Hall 'P 1'
loop_
_atom_site_label
_atom_site_type_symbol
_atom_site_fract_x
_atom_site_fract_y
_atom_site_fract_z
Dy1 Dy 0.000 0.000 0.000
Er1 Er 0.000 0.500 0.000
Er2 Er 0.334 0.000 0.666
Er3 Er 0.334 0.500 0.667
Er4 Er 0.666 0.000 0.334
Er5 Er 0.666 0.500 0.333
Cu1 Cu 0.166 0.251 0.336
Cu2 Cu 0.166 0.749 0.336
Cu3 Cu 0.500 0.252 0.000
Cu4 Cu 0.500 0.748 0.000
Cu5 Cu 0.834 0.251 0.664
Cu6 Cu 0.834 0.749 0.664
```

The 6 most intense peaks (2θ from 10° to 90°), most intense first:
2.428 Å, I = 100; 2.441 Å, I = 51; 1.407 Å, I = 26; 3.452 Å, I = 21; 1.399 Å, I = 17; 3.415 Å, I = 10

---

Record 3
Starting from a DFT-relaxed cell (PBE, Alexandria), the X-ray diffraction stick pattern of Dy3Er4Cu4 was calculated for λ = 1.5418 Å (Cu Kα).

```
data_Dy3Er4Cu4
_chemical_formula_sum 'Dy3 Er4 Cu4'
_cell_length_a 8.664
_cell_length_b 8.664
_cell_length_c 8.664
_cell_angle_alpha 147.87
_cell_angle_beta 130.18
_cell_angle_gamma 60.53
_symmetry_space_group_name_H-M 'P 1'
_symmetry_Int_Tables_number 1
_symmetry_space_group_name_Hall 'P 1'
loop_
_atom_site_label
_atom_site_type_symbol
_atom_site_fract_x
_atom_site_fract_y
_atom_site_fract_z
Dy1 Dy 0.000 0.000 0.000
Dy2 Dy 0.396 0.896 0.500
Dy3 Dy 0.604 0.104 0.500
Er1 Er 0.047 0.328 0.719
Er2 Er 0.392 0.672 0.719
Er3 Er 0.608 0.328 0.281
Er4 Er 0.953 0.672 0.281
Cu1 Cu 0.202 0.202 0.000
Cu2 Cu 0.332 0.500 0.832
Cu3 Cu 0.668 0.500 0.168
Cu4 Cu 0.798 0.798 0.000
```

The 6 most intense peaks (2θ from 10° to 90°), most intense first:
2.851 Å, I = 100; 2.735 Å, I = 48; 2.398 Å, I = 47; 2.510 Å, I = 39; 2.769 Å, I = 28; 3.457 Å, I = 24

---

Record 4
Starting from a DFT-relaxed cell (PBE, Alexandria), the X-ray diffraction stick pattern of DyEr2Cu3 was calculated for λ = 1.5418 Å (Cu Kα).

```
data_DyEr2Cu3
_chemical_formula_sum 'Dy1 Er2 Cu3'
_cell_length_a 3.438
_cell_length_b 3.438
_cell_length_c 10.370
_cell_angle_alpha 90.00
_cell_angle_beta 90.00
_cell_angle_gamma 90.00
_symmetry_space_group_name_H-M 'P 1'
_symmetry_Int_Tables_number 1
_symmetry_space_group_name_Hall 'P 1'
loop_
_atom_site_label
_atom_site_type_symbol
_atom_site_fract_x
_atom_site_fract_y
_atom_site_fract_z
Dy1 Dy 0.000 0.000 0.000
Er1 Er 0.000 0.000 0.334
Er2 Er 0.000 0.000 0.666
Cu1 Cu 0.500 0.500 0.170
Cu2 Cu 0.500 0.500 0.500
Cu3 Cu 0.500 0.500 0.830
```

The 6 most intense peaks (2θ from 10° to 90°), most intense first:
2.438 Å, I = 100; 2.431 Å, I = 50; 1.405 Å, I = 34; 3.438 Å, I = 20; 1.409 Å, I = 17; 1.719 Å, I = 17

---

Record 5
Starting from a DFT-relaxed cell (PBE, Alexandria), the X-ray diffraction stick pattern of DyErCu4 was calculated for λ = 1.5418 Å (Cu Kα).

```
data_DyErCu4
_chemical_formula_sum 'Dy2 Er2 Cu8'
_cell_length_a 4.277
_cell_length_b 6.792
_cell_length_c 7.314
_cell_angle_alpha 90.00
_cell_angle_beta 90.00
_cell_angle_gamma 90.00
_symmetry_space_group_name_H-M 'P 1'
_symmetry_Int_Tables_number 1
_symmetry_space_group_name_Hall 'P 1'
loop_
_atom_site_label
_atom_site_type_symbol
_atom_site_fract_x
_atom_site_fract_y
_atom_site_fract_z
Dy1 Dy 0.000 0.000 0.000
Dy2 Dy 0.500 0.500 0.500
Er1 Er 0.000 0.500 0.911
Er2 Er 0.500 0.000 0.411
Cu1 Cu 0.000 0.198 0.619
Cu2 Cu 0.000 0.301 0.290
Cu3 Cu 0.000 0.699 0.290
Cu4 Cu 0.000 0.802 0.619
Cu5 Cu 0.500 0.199 0.790
Cu6 Cu 0.500 0.302 0.119
Cu7 Cu 0.500 0.698 0.119
Cu8 Cu 0.500 0.801 0.790
```

The 6 most intense peaks (2θ from 10° to 90°), most intense first:
2.499 Å, I = 100; 2.118 Å, I = 41; 2.488 Å, I = 40; 2.572 Å, I = 38; 2.138 Å, I = 32; 3.692 Å, I = 22

---

Record 6
Starting from a DFT-relaxed cell (PBE, Alexandria), the X-ray diffraction stick pattern of Dy2Er5Cu4 was calculated for λ = 1.5418 Å (Cu Kα).

```
data_Dy2Er5Cu4
_chemical_formula_sum 'Dy2 Er5 Cu4'
_cell_length_a 11.764
_cell_length_b 11.764
_cell_length_c 6.694
_cell_angle_alpha 93.62
_cell_angle_beta 93.62
_cell_angle_gamma 17.42
_symmetry_space_group_name_H-M 'P 1'
_symmetry_Int_Tables_number 1
_symmetry_space_group_name_Hall 'P 1'
loop_
_atom_site_label
_atom_site_type_symbol
_atom_site_fract_x
_atom_site_fract_y
_atom_site_fract_z
Dy1 Dy 0.227 0.227 0.231
Dy2 Dy 0.773 0.773 0.769
Er1 Er 0.000 0.000 0.000
Er2 Er 0.370 0.370 0.109
Er3 Er 0.397 0.397 0.624
Er4 Er 0.603 0.603 0.376
Er5 Er 0.630 0.630 0.891
Cu1 Cu 0.178 0.178 0.625
Cu2 Cu 0.480 0.480 0.324
Cu3 Cu 0.520 0.520 0.676
Cu4 Cu 0.822 0.822 0.375
```

The 6 most intense peaks (2θ from 10° to 90°), most intense first:
2.826 Å, I = 100; 2.882 Å, I = 69; 3.157 Å, I = 62; 2.601 Å, I = 59; 2.612 Å, I = 54; 2.435 Å, I = 49